For YHoBrNCl2, a crystal structure in OQMD, relaxed with GGA-PBE gives the theoretical X-ray diffraction stick pattern in this record (Cu Kα, 1.54184 Å).

Top 8 peaks for 2θ = 15–90°, by angle:
Position (°2θ)  I (rel.)
27.03  58
28.58  58
32.86  100
33.47  47
35.44  32
37.47  27
40.34  32
44.49  34

Atomic structure:
```
12
Lattice="8.4480 -1.9243 0.0000 8.4480 1.9243 0.0000 -5.8530 0.0000 9.3173" Properties=species:S:1:pos:R:3 pbc="T T T"
Y 0.6048 0.0000 2.6605
Y 10.4384 0.0000 6.6567
Ho 6.8320 0.0000 0.4023
Ho 4.2111 0.0000 8.9149
Br 2.8920 0.0000 4.4963
Br 8.1512 0.0000 4.8210
N 2.2340 0.0000 7.8869
N 8.8091 0.0000 1.4304
Cl -3.6805 0.0000 7.0580
Cl 2.9570 0.0000 1.0048
Cl 8.0861 0.0000 8.3125
Cl 14.7236 0.0000 2.2593
```


For YHoBrNCl2, a crystal structure in OQMD, relaxed with GGA-PBE gives the theoretical X-ray diffraction stick pattern in this record (Cu Kα, 1.54184 Å).

Top 8 peaks for 2θ = 15–90°, by angle:
Position (°2θ)  I (rel.)
24.62  54
27.11  64
28.57  85
32.30  44
32.91  100
34.97  30
43.83  39
44.39  40

Atomic structure:
```
12
Lattice="8.6557 -1.9186 0.0000 8.6557 1.9186 0.0000 -6.1437 0.0000 9.3137" Properties=species:S:1:pos:R:3 pbc="T T T"
Y -1.4448 0.0000 4.2613
Y 12.6125 0.0000 5.0525
Ho 4.9940 0.0000 1.9942
Ho 6.1737 0.0000 7.3195
Br 2.7447 0.0000 0.1510
Br 8.4230 0.0000 9.1627
N -2.7125 0.0000 6.1087
N 13.8803 0.0000 3.2050
Cl 2.6133 0.0000 3.6223
Cl 3.4025 0.0000 6.9341
Cl 7.7652 0.0000 2.3796
Cl 8.5544 0.0000 5.6914
```


For MoI2BrCl2, a crystal structure in OQMD, relaxed with GGA-PBE gives the theoretical X-ray diffraction stick pattern in this record (Cu Kα, 1.54184 Å).

Top 8 peaks for 2θ = 15–90°, by angle:
Position (°2θ)  I (rel.)
16.37  30
19.61  42
28.81  42
29.58  76
29.79  29
30.45  100
31.06  67
40.42  35

Atomic structure:
```
12
Lattice="6.7679 0.0000 0.0000 3.1671 6.5602 0.0000 0.0702 3.4239 9.0375" Properties=species:S:1:pos:R:3 pbc="T T T"
Mo 1.6054 2.6166 1.9527
Mo 8.3999 7.3675 7.0848
I 3.7995 8.7674 7.7174
I 5.9957 7.1889 3.1315
I 4.0095 2.7952 5.9060
I 6.2057 1.2167 1.3201
Br 2.6892 5.3804 8.6199
Br 7.3161 4.6037 0.4176
Cl 2.5978 6.4311 5.2344
Cl 3.4623 4.0056 2.1602
Cl 6.5429 5.9785 6.8773
Cl 7.4074 3.5530 3.8031
```


For MoIBr3Cl, a crystal structure in OQMD, relaxed with GGA-PBE gives the theoretical X-ray diffraction stick pattern in this record (Cu Kα, 1.54184 Å).

Top 8 peaks for 2θ = 15–90°, by angle:
Position (°2θ)  I (rel.)
16.42  43
19.73  60
28.65  50
29.86  79
30.66  29
30.79  62
31.04  100
47.85  47

Atomic structure:
```
12
Lattice="6.6746 0.0000 0.0000 -3.1069 6.5780 0.0000 -0.0341 -3.5239 8.9980" Properties=species:S:1:pos:R:3 pbc="T T T"
Mo 0.0102 0.6351 1.8697
Mo 3.5234 2.4190 7.1283
I 1.2242 2.6352 3.0462
I 2.3094 0.4189 5.9518
Br -2.0704 3.3541 5.1535
Br -1.1648 1.1083 7.7316
Br -1.1296 5.7356 2.1486
Br 4.6632 -2.6815 6.8494
Br 4.6984 1.9458 1.2665
Br 5.6040 -0.3000 3.8445
Cl 0.9250 -2.2922 8.6124
Cl 2.6086 5.3463 0.3857
```


For Sm4I2BrN2Cl2, a crystal structure in OQMD, relaxed with GGA-PBE gives the theoretical X-ray diffraction stick pattern in this record (Cu Kα, 1.54184 Å).

Top 8 peaks for 2θ = 15–90°, by angle:
Position (°2θ)  I (rel.)
28.52  80
28.87  26
32.40  100
35.08  24
36.66  21
43.47  42
43.92  33
57.41  21

Atomic structure:
```
11
Lattice="9.5835 -1.8696 0.0000 9.5835 1.8696 0.0000 -1.6396 0.0000 8.0406" Properties=species:S:1:pos:R:3 pbc="T T T"
Sm 18.8414 0.0000 1.5704
Sm -1.3140 0.0000 6.4702
Sm 5.0939 0.0000 7.3499
Sm 12.4335 0.0000 0.6906
I 1.9905 0.0000 6.3106
I 15.5369 0.0000 1.7300
Br 8.7637 0.0000 4.0203
N 7.2697 0.0000 7.8907
N 10.2577 0.0000 0.1499
Cl 2.2641 0.0000 2.7439
Cl 15.2633 0.0000 5.2967
```


For NbIBr3Cl, a crystal structure in OQMD, relaxed with GGA-PBE gives the theoretical X-ray diffraction stick pattern in this record (Cu Kα, 1.54184 Å).

Top 8 peaks for 2θ = 15–90°, by angle:
Position (°2θ)  I (rel.)
20.22  45
27.62  44
28.80  94
29.59  97
30.05  100
37.73  40
38.34  26
50.27  26

Atomic structure:
```
12
Lattice="7.0636 0.0000 0.0000 3.4755 6.7348 0.0000 0.1480 4.0061 9.2397" Properties=species:S:1:pos:R:3 pbc="T T T"
Nb 1.7809 2.7652 2.0549
Nb 8.9062 7.9757 7.1848
I 6.6749 9.3778 7.8428
I 4.0121 1.3631 1.3969
Br 2.7206 4.7266 0.3809
Br 2.8976 3.8614 3.9386
Br 3.8861 6.5424 6.9471
Br 6.8010 4.1984 2.2926
Br 7.7895 6.8794 5.3011
Br 7.9664 6.0143 8.8588
Cl 4.2215 7.6709 2.9860
Cl 6.4656 3.0700 6.2537
```